This entry pairs a crystal structure of Li3Co2Si2O8 with its calculated XRD peak list. Radiation: Cu Kα (λ = 1.5418 Å). Structure: the GGA+U geometry in Alexandria.

Cell and atoms:
a b c (Å): 6.4171 5.1028 10.7355
angles (deg): 90.00 90.09 90.00
Space group Pc (No. 7)
Inequivalent atoms, fractional coordinates:
Li: 0.0000 0.0496 0.0000 [2 per cell]
Li: 0.2607 0.0559 0.2334 [2 per cell]
Li: 0.7538 0.4486 0.4186 [2 per cell]
Co: 0.2560 0.4431 0.4147 [2 per cell]
Co: 0.7471 0.0641 0.2367 [2 per cell]
Si: 0.0098 0.4323 0.6703 [2 per cell]
Si: 0.5033 0.0565 0.9893 [2 per cell]
O: 0.0050 0.1096 0.6700 [2 per cell]
O: 0.0287 0.4621 0.0217 [2 per cell]
O: 0.2205 0.4604 0.2450 [2 per cell]
O: 0.2857 0.0691 0.4246 [2 per cell]
O: 0.4908 0.3762 0.9616 [2 per cell]
O: 0.5017 0.0060 0.6370 [2 per cell]
O: 0.7189 0.0503 0.4237 [2 per cell]
O: 0.8083 0.4447 0.2389 [2 per cell]

Peak list (10 most intense, 2θ = 10–90°, low angle first)
- 2θ 21.59, I 96
- 2θ 22.26, I 100
- 2θ 27.83, I 26
- 2θ 32.51, I 42
- 2θ 33.39, I 34
- 2θ 34.05, I 26
- 2θ 35.17, I 43
- 2θ 59.12, I 24
- 2θ 62.39, I 19
- 2θ 70.68, I 19